Structure and calculated powder diffraction line list of Pm2Dy2Y6Ho (the PBE geometry in Alexandria; copper Kα).
No peak broadening, texture or thermal motion is included.

Atomic structure:
```
data_Pm2Dy2Y6Ho
_symmetry_space_group_name_H-M 'P 1'
_symmetry_Int_Tables_number 1
_cell_length_a 6.6624
_cell_length_b 6.6624
_cell_length_c 10.6071
_cell_angle_alpha 90.00
_cell_angle_beta 90.00
_cell_angle_gamma 129.56
loop_
_symmetry_equiv_pos_as_xyz
'x,y,z'
loop_
_atom_site_label
_atom_site_type_symbol
_atom_site_fract_x
_atom_site_fract_y
_atom_site_fract_z
Pm1 Pm 0.1337 0.8663 0.0000
Pm2 Pm 0.8663 0.1337 0.0000
Dy1 Dy 0.2062 0.7938 0.5000
Dy2 Dy 0.7938 0.2062 0.5000
Y1 Y 0.0000 0.0000 0.2962
Y2 Y 0.0000 0.0000 0.7038
Y3 Y 0.3472 0.6528 0.2087
Y4 Y 0.3472 0.6528 0.7913
Y5 Y 0.6528 0.3472 0.2087
Y6 Y 0.6528 0.3472 0.7913
Ho1 Ho 0.5000 0.5000 0.5000
```

Top 10 peaks for 2θ = 15–90°, most intense first:
| d/Å | 2θ (°) | Rel. int. |
| --- | --- | --- |
| 2.790 | 32.09 | 1000 |
| 2.839 | 31.52 | 383 |
| 2.912 | 30.70 | 292 |
| 1.629 | 56.49 | 258 |
| 2.899 | 30.84 | 239 |
| 2.652 | 33.80 | 194 |
| 2.028 | 44.68 | 172 |
| 1.938 | 46.89 | 155 |
| 1.494 | 62.15 | 155 |
| 1.480 | 62.77 | 130 |

***

Structure and calculated powder diffraction line list of Cs3CoBr6 (the PBE geometry in Alexandria; copper Kα).
No peak broadening, texture or thermal motion is included.

Atomic structure:
```
data_Cs3CoBr6
_symmetry_space_group_name_H-M 'P 1'
_symmetry_Int_Tables_number 1
_cell_length_a 9.5285
_cell_length_b 9.5285
_cell_length_c 9.5285
_cell_angle_alpha 89.56
_cell_angle_beta 89.56
_cell_angle_gamma 89.56
loop_
_symmetry_equiv_pos_as_xyz
'x,y,z'
loop_
_atom_site_label
_atom_site_type_symbol
_atom_site_fract_x
_atom_site_fract_y
_atom_site_fract_z
Cs1 Cs 0.0566 0.5641 0.7385
Cs2 Cs 0.2615 0.9434 0.4359
Cs3 Cs 0.4359 0.2615 0.9434
Cs4 Cs 0.5641 0.7385 0.0566
Cs5 Cs 0.7385 0.0566 0.5641
Cs6 Cs 0.9434 0.4359 0.2615
Co1 Co 0.0000 0.0000 0.0000
Co2 Co 0.5000 0.5000 0.5000
Br1 Br 0.0473 0.9460 0.7527
Br2 Br 0.0540 0.2473 0.9527
Br3 Br 0.2473 0.9527 0.0540
Br4 Br 0.2686 0.5657 0.4083
Br5 Br 0.4083 0.2686 0.5657
Br6 Br 0.4343 0.5917 0.7314
Br7 Br 0.5657 0.4083 0.2686
Br8 Br 0.5917 0.7314 0.4343
Br9 Br 0.7314 0.4343 0.5917
Br10 Br 0.7527 0.0473 0.9460
Br11 Br 0.9460 0.7527 0.0473
Br12 Br 0.9527 0.0540 0.2473
```

Top 10 peaks for 2θ = 15–90°, most intense first:
| d/Å | 2θ (°) | Rel. int. |
| --- | --- | --- |
| 3.006 | 29.72 | 1000 |
| 4.248 | 20.91 | 964 |
| 3.020 | 29.58 | 749 |
| 2.538 | 35.36 | 534 |
| 2.548 | 35.23 | 533 |
| 4.274 | 20.78 | 507 |
| 1.629 | 56.49 | 373 |
| 1.640 | 56.10 | 358 |
| 3.174 | 28.11 | 317 |
| 4.764 | 18.63 | 312 |

***

Structure and calculated powder diffraction line list of Ac2Ge2Pd3 (the PBE geometry in Alexandria; copper Kα).
No peak broadening, texture or thermal motion is included.

Atomic structure:
```
data_Ac2Ge2Pd3
_symmetry_space_group_name_H-M 'P 1'
_symmetry_Int_Tables_number 1
_cell_length_a 10.3121
_cell_length_b 10.3121
_cell_length_c 7.4093
_cell_angle_alpha 90.00
_cell_angle_beta 90.00
_cell_angle_gamma 155.80
loop_
_symmetry_equiv_pos_as_xyz
'x,y,z'
loop_
_atom_site_label
_atom_site_type_symbol
_atom_site_fract_x
_atom_site_fract_y
_atom_site_fract_z
Ac1 Ac 0.0531 0.9469 0.7500
Ac2 Ac 0.1615 0.8385 0.2500
Ac3 Ac 0.8385 0.1615 0.7500
Ac4 Ac 0.9469 0.0531 0.2500
Ge1 Ge 0.3154 0.6846 0.0686
Ge2 Ge 0.3154 0.6846 0.4314
Ge3 Ge 0.6846 0.3154 0.5686
Ge4 Ge 0.6846 0.3154 0.9314
Pd1 Pd 0.2144 0.7856 0.7500
Pd2 Pd 0.4359 0.5641 0.5588
Pd3 Pd 0.4359 0.5641 0.9412
Pd4 Pd 0.5641 0.4359 0.0588
Pd5 Pd 0.5641 0.4359 0.4412
Pd6 Pd 0.7856 0.2144 0.2500
```

Top 10 peaks for 2θ = 15–90°, most intense first:
| d/Å | 2θ (°) | Rel. int. |
| --- | --- | --- |
| 2.740 | 32.68 | 1000 |
| 2.786 | 32.13 | 914 |
| 2.218 | 40.68 | 349 |
| 2.162 | 41.79 | 328 |
| 2.521 | 35.62 | 250 |
| 1.548 | 59.73 | 234 |
| 3.061 | 29.18 | 231 |
| 1.753 | 52.19 | 229 |
| 1.324 | 71.21 | 169 |
| 2.014 | 45.02 | 146 |

***

Structure and calculated powder diffraction line list of SmScAgRu (the PBE geometry in Alexandria; copper Kα).
No peak broadening, texture or thermal motion is included.

Atomic structure:
```
data_SmScAgRu
_symmetry_space_group_name_H-M 'P 1'
_symmetry_Int_Tables_number 1
_cell_length_a 3.3462
_cell_length_b 3.3462
_cell_length_c 7.4378
_cell_angle_alpha 90.00
_cell_angle_beta 90.00
_cell_angle_gamma 90.00
loop_
_symmetry_equiv_pos_as_xyz
'x,y,z'
loop_
_atom_site_label
_atom_site_type_symbol
_atom_site_fract_x
_atom_site_fract_y
_atom_site_fract_z
Sm1 Sm 0.0000 0.0000 0.0000
Sc1 Sc 0.0000 0.0000 0.5585
Ag1 Ag 0.5000 0.5000 0.3106
Ru1 Ru 0.5000 0.5000 0.7541
```

Top 10 peaks for 2θ = 15–90°, most intense first:
| d/Å | 2θ (°) | Rel. int. |
| --- | --- | --- |
| 2.487 | 36.11 | 1000 |
| 2.366 | 38.03 | 492 |
| 1.388 | 67.48 | 359 |
| 3.052 | 29.27 | 257 |
| 1.673 | 54.87 | 165 |
| 1.462 | 63.65 | 121 |
| 1.712 | 53.54 | 109 |
| 2.479 | 36.23 | 85 |
| 1.359 | 69.10 | 72 |
| 1.244 | 76.61 | 70 |

***

Structure and calculated powder diffraction line list of SrScZn2Ga2 (the PBE geometry in Alexandria; copper Kα).
No peak broadening, texture or thermal motion is included.

Atomic structure:
```
data_SrScZn2Ga2
_symmetry_space_group_name_H-M 'P 1'
_symmetry_Int_Tables_number 1
_cell_length_a 4.4250
_cell_length_b 4.4250
_cell_length_c 7.5428
_cell_angle_alpha 90.00
_cell_angle_beta 90.00
_cell_angle_gamma 120.00
loop_
_symmetry_equiv_pos_as_xyz
'x,y,z'
loop_
_atom_site_label
_atom_site_type_symbol
_atom_site_fract_x
_atom_site_fract_y
_atom_site_fract_z
Sr1 Sr 0.0000 0.0000 0.0000
Sc1 Sc 0.0000 0.0000 0.5000
Zn1 Zn 0.3333 0.6667 0.6895
Zn2 Zn 0.6667 0.3333 0.3105
Ga1 Ga 0.3333 0.6667 0.3024
Ga2 Ga 0.6667 0.3333 0.6976
```

Top 10 peaks for 2θ = 15–90°, most intense first:
| d/Å | 2θ (°) | Rel. int. |
| --- | --- | --- |
| 2.688 | 33.33 | 1000 |
| 2.212 | 40.78 | 858 |
| 1.661 | 55.31 | 341 |
| 3.416 | 26.08 | 276 |
| 1.708 | 53.65 | 245 |
| 1.352 | 69.52 | 218 |
| 2.514 | 35.71 | 205 |
| 1.277 | 74.24 | 136 |
| 1.139 | 85.21 | 96 |
| 1.106 | 88.36 | 87 |

***

Structure and calculated powder diffraction line list of Pr2Ho (the PBE geometry in Alexandria; copper Kα).
No peak broadening, texture or thermal motion is included.

Atomic structure:
```
data_Pr2Ho
_symmetry_space_group_name_H-M 'P 1'
_symmetry_Int_Tables_number 1
_cell_length_a 3.6622
_cell_length_b 3.6622
_cell_length_c 15.4609
_cell_angle_alpha 90.00
_cell_angle_beta 90.00
_cell_angle_gamma 90.00
loop_
_symmetry_equiv_pos_as_xyz
'x,y,z'
loop_
_atom_site_label
_atom_site_type_symbol
_atom_site_fract_x
_atom_site_fract_y
_atom_site_fract_z
Pr1 Pr 0.0000 0.0000 0.1642
Pr2 Pr 0.0000 0.0000 0.8358
Pr3 Pr 0.5000 0.5000 0.3358
Pr4 Pr 0.5000 0.5000 0.6642
Ho1 Ho 0.0000 0.0000 0.5000
Ho2 Ho 0.5000 0.5000 0.0000
```

Top 10 peaks for 2θ = 15–90°, most intense first:
| d/Å | 2θ (°) | Rel. int. |
| --- | --- | --- |
| 2.985 | 29.93 | 1000 |
| 2.590 | 34.64 | 340 |
| 1.561 | 59.19 | 290 |
| 1.827 | 49.93 | 241 |
| 2.577 | 34.82 | 167 |
| 1.555 | 59.43 | 142 |
| 1.493 | 62.19 | 124 |
| 1.831 | 49.80 | 122 |
| 1.185 | 81.14 | 116 |
| 1.188 | 80.93 | 59 |

***

Structure and calculated powder diffraction line list of Nb5NiRh4 (the PBE geometry in Alexandria; copper Kα).
No peak broadening, texture or thermal motion is included.

Atomic structure:
```
data_Nb5NiRh4
_symmetry_space_group_name_H-M 'P 1'
_symmetry_Int_Tables_number 1
_cell_length_a 3.3818
_cell_length_b 3.3818
_cell_length_c 14.0502
_cell_angle_alpha 90.00
_cell_angle_beta 90.00
_cell_angle_gamma 90.00
loop_
_symmetry_equiv_pos_as_xyz
'x,y,z'
loop_
_atom_site_label
_atom_site_type_symbol
_atom_site_fract_x
_atom_site_fract_y
_atom_site_fract_z
Nb1 Nb 0.0000 0.0000 0.0000
Nb2 Nb 0.0000 0.0000 0.2026
Nb3 Nb 0.0000 0.0000 0.4059
Nb4 Nb 0.0000 0.0000 0.5941
Nb5 Nb 0.0000 0.0000 0.7974
Ni1 Ni 0.5000 0.5000 0.5000
Rh1 Rh 0.5000 0.5000 0.1014
Rh2 Rh 0.5000 0.5000 0.3038
Rh3 Rh 0.5000 0.5000 0.6962
Rh4 Rh 0.5000 0.5000 0.8986
```

Top 10 peaks for 2θ = 15–90°, most intense first:
| d/Å | 2θ (°) | Rel. int. |
| --- | --- | --- |
| 2.161 | 41.79 | 1000 |
| 2.391 | 37.61 | 684 |
| 1.332 | 70.74 | 402 |
| 1.691 | 54.25 | 231 |
| 1.211 | 79.05 | 141 |
| 1.196 | 80.30 | 71 |
| 1.405 | 66.55 | 58 |
| 2.436 | 36.90 | 14 |
| 2.742 | 32.66 | 7 |
| 3.047 | 29.31 | 6 |

***

Structure and calculated powder diffraction line list of Pa2OsPd (the PBE geometry in Alexandria; copper Kα).
No peak broadening, texture or thermal motion is included.

Atomic structure:
```
data_Pa2OsPd
_symmetry_space_group_name_H-M 'P 1'
_symmetry_Int_Tables_number 1
_cell_length_a 5.7390
_cell_length_b 7.5916
_cell_length_c 4.2366
_cell_angle_alpha 90.00
_cell_angle_beta 90.00
_cell_angle_gamma 90.00
loop_
_symmetry_equiv_pos_as_xyz
'x,y,z'
loop_
_atom_site_label
_atom_site_type_symbol
_atom_site_fract_x
_atom_site_fract_y
_atom_site_fract_z
Pa1 Pa 0.2328 0.1670 0.0000
Pa2 Pa 0.2672 0.6670 0.5000
Pa3 Pa 0.7328 0.3330 0.5000
Pa4 Pa 0.7672 0.8330 0.0000
Os1 Os 0.0000 0.0000 0.5000
Os2 Os 0.5000 0.5000 0.0000
Pd1 Pd 0.0000 0.5000 0.0000
Pd2 Pd 0.5000 0.0000 0.5000
```

Top 10 peaks for 2θ = 15–90°, most intense first:
| d/Å | 2θ (°) | Rel. int. |
| --- | --- | --- |
| 3.109 | 28.71 | 1000 |
| 2.267 | 39.75 | 742 |
| 2.172 | 41.57 | 692 |
| 3.166 | 28.19 | 519 |
| 2.289 | 39.36 | 385 |
| 2.118 | 42.68 | 321 |
| 1.555 | 59.45 | 234 |
| 1.761 | 51.94 | 200 |
| 1.197 | 80.17 | 188 |
| 1.699 | 53.96 | 164 |